Diffraction record for MgSi. The PXRD pattern is calculated, not measured: it uses a structure optimized by DFT (GGA-PBE) and Cu Kα (λ = 1.5418 Å).
Peak positions follow from Bragg's law for the DFT cell and can differ from measured ones.

Atomic structure:
a = 5.3870 Å, b = 5.6386 Å, c = 8.5766 Å
α = 100.86°, β = 103.17°, γ = 110.68°
Space group P-1 (No. 2)
Asymmetric unit:
Mg  0.0166  0.4688  0.3084 (multiplicity 2)
Mg  0.2592  0.3087  0.0408 (multiplicity 2)
Mg  0.3360  0.1014  0.6388 (multiplicity 2)
Si  0.1549  0.9669  0.2677 (multiplicity 2)
Si  0.3190  0.8197  0.0245 (multiplicity 2)
Si  0.4573  0.6173  0.6141 (multiplicity 2)

Principal peaks in the range 15° ≤ 2θ ≤ 90°, by angle:
2θ/deg  I/Imax
33.6  58
33.7  90
34.0  98
36.0  22
37.2  100
41.0  48
42.9  47
43.2  27
44.0  36
44.4  25
46.9  23
48.1  50